Computed powder diffractogram of Pr14ThSc for Cu Kα X-rays, from a cell relaxed with GGA-PBE.
Kinematic intensities with the Lorentz-polarization factor, no thermal factor.

Cell and atoms:
```
data_Pr14ThSc
_cell_length_a 7.3352
_cell_length_b 7.3352
_cell_length_c 10.4571
_cell_angle_alpha 90.00
_cell_angle_beta 90.00
_cell_angle_gamma 90.00
_symmetry_space_group_name_H-M 'P 4/m m m'
_symmetry_Int_Tables_number 123
_symmetry_space_group_name_Hall '-P 4 2'
loop_
_atom_site_label
_atom_site_type_symbol
_atom_site_fract_x
_atom_site_fract_y
_atom_site_fract_z
_atom_site_occupancy
Pr1 Pr 0.0000 0.0000 0.0000 1
Pr2 Pr 0.0000 0.5000 0.0000 1
Pr3 Pr 0.0000 0.5000 0.5000 1
Pr4 Pr 0.2494 0.2494 0.2567 1
Pr5 Pr 0.5000 0.5000 0.0000 1
Th1 Th 0.5000 0.5000 0.5000 1
Sc1 Sc 0.0000 0.0000 0.5000 1
```

Principal peaks in the range 15° ≤ 2θ ≤ 90°, by angle:
2θ/deg  d [Å]  I/Imax  h k l
29.76  3.003  1000  2 0 2
34.30  2.614  170  0 0 4
34.59  2.593  337  2 2 0
49.51  1.841  241  2 2 4
49.72  1.834  121  4 0 0
58.65  1.574  142  2 0 6
59.02  1.565  287  4 2 2
61.80  1.501  124  4 0 4
80.39  1.194  114  4 2 6
80.72  1.190  58  6 0 2

Computed powder diffractogram of Mg5In2 for Cu Kα X-rays, from a cell relaxed with GGA-PBE.
Kinematic intensities with the Lorentz-polarization factor, no thermal factor.

Cell and atoms:
```
data_Mg5In2
_cell_length_a 4.2573
_cell_length_b 34.9969
_cell_length_c 4.5341
_cell_angle_alpha 90.00
_cell_angle_beta 90.00
_cell_angle_gamma 90.00
_symmetry_space_group_name_H-M 'C m c m'
_symmetry_Int_Tables_number 63
_symmetry_space_group_name_Hall '-C 2c 2'
loop_
_atom_site_label
_atom_site_type_symbol
_atom_site_fract_x
_atom_site_fract_y
_atom_site_fract_z
_atom_site_occupancy
Mg1 Mg 0.0000 0.0322 0.2500 1
Mg2 Mg 0.0000 0.1062 0.7500 1
Mg3 Mg 0.0000 0.2485 0.2500 1
Mg4 Mg 0.0000 0.3229 0.7500 1
Mg5 Mg 0.0000 0.4655 0.2500 1
In1 In 0.0000 0.1897 0.7500 1
In2 In 0.0000 0.4067 0.7500 1
```

Principal peaks in the range 15° ≤ 2θ ≤ 90°, by angle:
2θ/deg  d [Å]  I/Imax  h k l
22.08  4.026  521  0 4 1
24.47  3.637  524  1 5 0
25.45  3.500  219  0 10 0
28.88  3.091  641  1 1 1
31.53  2.837  184  1 5 1
37.06  2.426  1000  1 9 1
39.76  2.267  285  0 0 2
41.24  2.189  184  0 14 1
42.47  2.129  235  2 0 0
47.24  1.924  176  1 5 2

Computed powder diffractogram of Ta2BPbI for Cu Kα X-rays, from a cell relaxed with GGA-PBE.
Kinematic intensities with the Lorentz-polarization factor, no thermal factor.

Cell and atoms:
```
data_Ta2BPbI
_cell_length_a 4.5956
_cell_length_b 4.5956
_cell_length_c 4.8545
_cell_angle_alpha 90.00
_cell_angle_beta 90.00
_cell_angle_gamma 90.00
_symmetry_space_group_name_H-M 'P 4/m m m'
_symmetry_Int_Tables_number 123
_symmetry_space_group_name_Hall '-P 4 2'
loop_
_atom_site_label
_atom_site_type_symbol
_atom_site_fract_x
_atom_site_fract_y
_atom_site_fract_z
_atom_site_occupancy
Ta1 Ta 0.0000 0.5000 0.0000 1
B1 B 0.0000 0.0000 0.0000 1
Pb1 Pb 0.5000 0.5000 0.5000 1
I1 I 0.0000 0.0000 0.5000 1
```

Principal peaks in the range 15° ≤ 2θ ≤ 90°, by angle:
2θ/deg  d [Å]  I/Imax  h k l
26.71  3.337  28  1 0 1
33.18  2.700  1000  1 1 1
37.04  2.427  195  0 0 2
39.21  2.298  334  2 0 0
55.03  1.669  251  2 0 2
56.65  1.625  115  2 2 0
64.31  1.449  152  1 1 3
67.25  1.392  266  3 1 1
69.63  1.350  125  2 2 2
84.29  1.149  38  4 0 0